Cs2RbScF6: computed powder X-ray diffraction pattern (Cu Kα (weighted mean of Kα1 and Kα2)), based on a crystal structure in the Materials Project, relaxed with PBE.
No peak broadening, texture or thermal motion is included.

abc: 9.519 9.519 9.519
angles: 90.00 90.00 90.00
Space group Fm-3m (No. 225)
Unique sites:
Cs (0.250, 0.250, 0.250) x8
Rb (0.000, 0.000, 0.000) x4
Sc (0.000, 0.000, 0.500) x4
F (0.000, 0.000, 0.285) x24

Top 10 peaks for 2θ from 10° to 90°, by angle:
Position (°2θ)  d (Å)  I (rel.)  h k l
18.64  4.760  5.7  2 0 0
26.48  3.365  100.0  2 2 0
32.59  2.748  16.9  2 2 2
37.80  2.380  36.4  4 0 0
46.75  1.943  38.6  4 2 2
54.53  1.683  22.2  4 4 0
61.62  1.505  20.7  6 2 0
68.26  1.374  6.9  4 4 4
74.61  1.272  22.4  6 4 2
86.82  1.122  10.7  6 6 0